Starting from a crystal structure in Alexandria, relaxed with GGA-PBE, the powder X-ray diffraction pattern of AcPr4Ir was computed for Cu Kα.
No peak broadening, texture or thermal motion is included.

Most intense lines, 5 to 70 degrees two-theta, sorted by position:
two_theta, d/Å, Rel. int.
12.55, 7.055, 34
27.64, 3.227, 38
28.81, 3.099, 26
29.93, 2.985, 66
30.82, 2.901, 100
31.45, 2.844, 38
38.14, 2.360, 43
48.37, 1.882, 25

Cell and atoms:
Cell lengths 9.864, 9.864, 6.461 Å; angles 106.76, 106.76, 46.15 degrees
Element x y z (fractional)
Ac  0.196  0.196  0.187
Ac  0.804  0.804  0.813
Pr  0.133  0.641  0.363
Pr  0.249  0.751  0.000
Pr  0.319  0.319  0.801
Pr  0.359  0.867  0.637
Pr  0.641  0.133  0.363
Pr  0.681  0.681  0.199
Pr  0.751  0.249  0.000
Pr  0.867  0.359  0.637
Ir  0.465  0.465  0.665
Ir  0.535  0.535  0.335